1.
For La3Nd4Er5, a DFT-relaxed cell (GGA-PBE, Alexandria) gives the simulated powder X-ray diffraction pattern in this record (λ = 1.5418 Å (Cu Kα)).

Most intense lines, 2θ from 5° to 70°, in order of falling intensity:
d_spacing, intensity
2.962, 100
2.566, 45
2.955, 33
1.812, 32
1.544, 24
2.560, 22
1.548, 19
1.816, 16
1.546, 14
1.482, 8

```
12
Lattice="6.2756 0.0000 0.0000 0.0049 7.2436 0.0000 0.0066 0.0280 8.8973" Properties=species:S:1:pos:R:3 pbc="T T T"
La 0.0000 0.0000 0.0000
La 1.0657 1.8166 2.9509
La 5.2214 5.4550 5.9463
Nd 1.0768 5.4506 2.9563
Nd 2.0791 3.6385 5.9690
Nd 4.2080 3.6331 2.9282
Nd 5.2104 1.8210 5.9410
Er 0.0024 3.6218 0.0000
Er 2.1083 0.0202 5.9647
Er 3.1301 5.4333 0.0039
Er 3.1570 1.8383 8.8933
Er 4.1789 7.2514 2.9326
```

2.
For La7Nd4Er, a DFT-relaxed cell (GGA-PBE, Alexandria) gives the simulated powder X-ray diffraction pattern in this record (λ = 1.5418 Å (Cu Kα)).

Most intense lines, 2θ from 5° to 70°, in order of falling intensity:
d_spacing, intensity
2.910, 100
2.770, 55
2.991, 49
1.864, 38
1.582, 37
3.205, 36
2.766, 28
1.743, 23
1.652, 17
1.569, 16

```
12
Lattice="6.4603 0.0000 0.0000 -0.0003 7.4483 0.0000 -2.1516 -0.0142 8.9736" Properties=species:S:1:pos:R:3 pbc="T T T"
La 0.0000 0.0000 0.0000
La -0.0079 3.7055 5.9931
La 1.0855 5.5793 2.9637
La 3.2275 1.8870 0.0012
La 1.0809 5.5471 8.9723
La 3.2229 1.8548 6.0099
La 4.3163 3.7286 2.9805
Nd 0.0197 7.4370 5.9968
Nd 1.0715 1.8646 2.9436
Nd 3.2369 5.5695 6.0300
Nd 4.2887 -0.0029 2.9767
Er -0.0002 3.7242 0.0000
```

3.
For La7NdEr12, a DFT-relaxed cell (GGA-PBE, Alexandria) gives the simulated powder X-ray diffraction pattern in this record (λ = 1.5418 Å (Cu Kα)).

Most intense lines, 2θ from 5° to 70°, in order of falling intensity:
d_spacing, intensity
2.831, 100
3.269, 81
2.002, 74
1.707, 38
1.635, 26
5.663, 24
2.533, 13
1.416, 12
4.004, 10
1.888, 7

```
20
Lattice="-5.6629 5.6629 5.6629 5.6629 -5.6629 5.6629 5.6629 5.6629 -5.6629" Properties=species:S:1:pos:R:3 pbc="T T T"
La 2.8315 2.8315 -2.8315
La 2.8315 -2.8315 2.8315
La 5.6629 0.0000 0.0000
La -2.8315 2.8315 2.8315
La 0.0000 5.6629 0.0000
La 0.0000 0.0000 5.6629
La 2.8315 2.8315 2.8315
Nd 0.0000 0.0000 0.0000
Er 5.6629 2.8505 -2.8505
Er 5.6629 -2.8505 2.8505
Er 2.8505 5.6629 -2.8505
Er 2.8124 2.8124 0.0000
Er 2.8124 0.0000 2.8124
Er 2.8505 -2.8505 5.6629
Er 0.0000 2.8124 2.8124
Er 5.6629 2.8505 2.8505
Er -2.8505 5.6629 2.8505
Er -2.8505 2.8505 5.6629
Er 2.8505 5.6629 2.8505
Er 2.8505 2.8505 5.6629
```

4.
For La4Nd5Er, a DFT-relaxed cell (GGA-PBE, Alexandria) gives the simulated powder X-ray diffraction pattern in this record (λ = 1.5418 Å (Cu Kα)).

Most intense lines, 2θ from 5° to 70°, in order of falling intensity:
d_spacing, intensity
3.090, 100
2.971, 50
2.549, 44
2.892, 37
1.754, 30
3.224, 22
1.556, 18
1.802, 17
1.608, 14
2.121, 12

```
20
Lattice="10.8110 0.0000 0.0000 0.0000 10.8110 0.0000 0.0000 0.0000 6.0032" Properties=species:S:1:pos:R:3 pbc="T T T"
La 0.5308 8.1082 0.7687
La 2.7027 5.9363 5.2345
La 2.7027 10.2802 5.2345
La 4.8747 8.1082 0.7687
La 5.9363 2.7027 5.2345
La 8.1082 0.5308 0.7687
La 8.1082 4.8747 0.7687
La 10.2802 2.7027 5.2345
Nd 0.9869 0.9869 2.0884
Nd 0.9869 4.4186 2.0884
Nd 2.7027 8.1082 3.0016
Nd 4.4186 0.9869 2.0884
Nd 4.4186 4.4186 2.0884
Nd 6.3924 6.3924 3.9148
Nd 6.3924 9.8241 3.9148
Nd 8.1082 2.7027 3.0016
Nd 9.8241 6.3924 3.9148
Nd 9.8241 9.8241 3.9148
Er 2.7027 2.7027 5.0402
Er 8.1082 8.1082 0.9630
```

5.
For LaNd2Er9, a DFT-relaxed cell (GGA-PBE, Alexandria) gives the simulated powder X-ray diffraction pattern in this record (λ = 1.5418 Å (Cu Kα)).

Most intense lines, 2θ from 5° to 70°, in order of falling intensity:
d_spacing, intensity
2.817, 100
2.857, 57
1.494, 29
2.987, 23
2.548, 20
1.634, 20
2.006, 20
1.626, 18
2.390, 13
1.409, 10

```
12
Lattice="11.2683 0.0000 0.0000 -5.6342 9.7587 0.0000 0.0000 0.0000 3.5236" Properties=species:S:1:pos:R:3 pbc="T T T"
La 0.0000 0.0000 0.0000
Nd 0.0000 6.5058 0.0000
Nd 5.6342 3.2529 0.0000
Er -2.8171 4.8793 0.0000
Er 0.0000 3.4578 1.7618
Er -2.6396 8.0298 1.7618
Er 2.9945 1.7289 1.7618
Er 5.6342 0.0000 0.0000
Er 2.8171 4.8793 0.0000
Er 2.6396 8.0298 1.7618
Er 8.2738 1.7289 1.7618
Er 5.6342 6.3009 1.7618
```

6.
For LaNd3Er7, a DFT-relaxed cell (GGA-PBE, Alexandria) gives the simulated powder X-ray diffraction pattern in this record (λ = 1.5418 Å (Cu Kα)).

Most intense lines, 2θ from 5° to 70°, in order of falling intensity:
d_spacing, intensity
2.832, 100
2.817, 83
2.769, 67
2.731, 67
2.855, 33
1.479, 27
1.591, 19
2.795, 19
1.610, 19
1.750, 15

```
11
Lattice="7.0005 0.0000 0.0000 0.0000 5.5373 0.0000 -3.4034 0.0000 9.4166" Properties=species:S:1:pos:R:3 pbc="T T T"
La 0.0000 0.0000 0.0000
Nd 0.2843 2.7687 4.6965
Nd 3.5002 0.0000 0.0000
Nd 3.3128 2.7687 4.7201
Er -1.7017 0.0000 4.7083
Er -1.6793 2.7687 7.4209
Er 1.7877 2.7687 1.3195
Er 1.8078 0.0000 3.1135
Er 1.7893 0.0000 6.3031
Er 1.8094 2.7687 8.0971
Er 5.2763 2.7687 1.9957
```

7.
For LaNd2Er4, a DFT-relaxed cell (GGA-PBE, Alexandria) gives the simulated powder X-ray diffraction pattern in this record (λ = 1.5418 Å (Cu Kα)).

Most intense lines, 2θ from 5° to 70°, in order of falling intensity:
d_spacing, intensity
2.791, 100
2.824, 74
2.779, 47
2.607, 32
2.947, 27
2.852, 27
1.901, 22
1.600, 22
2.703, 19
3.865, 14

```
14
Lattice="6.8874 0.0000 0.0000 0.0000 10.4274 0.0000 -1.9708 0.0000 6.7179" Properties=species:S:1:pos:R:3 pbc="T T T"
La 0.0000 0.0000 0.0000
La 3.4437 0.0000 0.0000
Nd -0.9854 0.0000 3.3590
Nd 0.0000 5.2137 0.0000
Nd -0.9854 5.2137 3.3590
Nd 2.4583 5.2137 3.3590
Er 1.2324 2.3204 2.0946
Er 1.2324 8.1069 2.0946
Er 0.2728 2.9590 5.4496
Er 0.2728 7.4684 5.4496
Er 4.6438 2.9590 1.2684
Er 4.6438 7.4684 1.2684
Er 3.6842 2.3204 4.6234
Er 3.6842 8.1069 4.6234
```

8.
For LaNd6Er5, a DFT-relaxed cell (GGA-PBE, Alexandria) gives the simulated powder X-ray diffraction pattern in this record (λ = 1.5418 Å (Cu Kα)).

Most intense lines, 2θ from 5° to 70°, in order of falling intensity:
d_spacing, intensity
2.952, 100
2.567, 34
1.546, 29
1.804, 24
2.536, 16
1.532, 14
1.476, 12
1.815, 12

```
12
Lattice="2.5654 -7.7036 0.0000 2.5654 7.7036 0.0000 0.0000 0.0000 10.1420" Properties=species:S:1:pos:R:3 pbc="T T T"
La 0.0000 0.0000 0.0000
Nd 2.5654 5.1323 2.5619
Nd 2.5654 5.1323 7.5801
Nd 2.5654 0.0000 2.5740
Nd 2.5654 0.0000 7.5680
Nd 2.5654 -5.1323 2.5619
Nd 2.5654 -5.1323 7.5801
Er 0.0000 0.0000 5.0710
Er 2.5654 2.6055 0.0000
Er 2.5654 2.5711 5.0710
Er 2.5654 -2.5711 5.0710
Er 2.5654 -2.6055 0.0000
```

9.
For La12Nd5Er2, a DFT-relaxed cell (GGA-PBE, Alexandria) gives the simulated powder X-ray diffraction pattern in this record (λ = 1.5418 Å (Cu Kα)).

Most intense lines, 2θ from 5° to 70°, in order of falling intensity:
d_spacing, intensity
2.893, 100
2.997, 58
2.791, 41
3.308, 31
3.071, 24
1.710, 20
2.608, 19
2.951, 17
2.103, 12
2.487, 12

```
19
Lattice="6.3614 0.0000 0.0000 2.0062 10.7636 0.0000 1.9978 4.0937 9.9626" Properties=species:S:1:pos:R:3 pbc="T T T"
La 1.5585 5.6976 3.8225
La 2.4870 2.8187 5.6041
La 2.4911 6.2444 0.4811
La 5.5045 14.0573 9.4263
La 4.8214 7.2744 8.5396
La 4.8310 10.6605 3.4946
La 5.5345 4.1968 6.4680
La 5.5440 7.5830 1.4230
La 4.8610 0.8000 0.5363
La 7.8744 8.6130 9.4815
La 7.8785 12.0386 4.3585
La 8.8070 9.1597 6.1401
Nd 1.6494 2.6615 1.7862
Nd 5.6586 10.6161 7.1223
Nd 5.1827 7.4287 4.9813
Nd 4.7069 4.2413 2.8403
Nd 8.7161 12.1959 8.1764
Er 2.0110 8.9840 2.6543
Er 8.3544 5.8733 7.3083
```

10.
For La3Nd5Er3, a DFT-relaxed cell (GGA-PBE, Alexandria) gives the simulated powder X-ray diffraction pattern in this record (λ = 1.5418 Å (Cu Kα)).

Most intense lines, 2θ from 5° to 70°, in order of falling intensity:
d_spacing, intensity
2.757, 100
2.208, 87
2.962, 86
3.313, 83
2.544, 72
1.904, 46
1.494, 43
2.869, 40
3.757, 39
3.458, 33

```
11
Lattice="11.4776 0.0000 0.0000 -5.7388 9.9399 0.0000 0.0000 0.0000 3.4579" Properties=species:S:1:pos:R:3 pbc="T T T"
La -3.4357 5.9508 0.0000
La 2.3031 3.9891 0.0000
La 6.8714 0.0000 0.0000
Nd -1.9256 3.3352 1.7289
Nd 0.0000 6.6266 1.7289
Nd 3.8512 0.0000 1.7289
Nd 3.8132 6.6047 1.7289
Nd 5.7388 3.3133 1.7289
Er -4.8341 8.3728 1.7289
Er 0.9048 1.5671 1.7289
Er 9.6681 0.0000 1.7289
```

11.
For La2Nd2Er, a DFT-relaxed cell (GGA-PBE, Alexandria) gives the simulated powder X-ray diffraction pattern in this record (λ = 1.5418 Å (Cu Kα)).

Most intense lines, 2θ from 5° to 70°, in order of falling intensity:
d_spacing, intensity
2.884, 100
2.686, 43
2.915, 40
3.121, 24
2.049, 17
1.677, 16
1.538, 12
1.698, 11
1.501, 11
2.090, 11

```
10
Lattice="-1.8110 2.9146 16.6317 1.8110 -2.9146 16.6317 1.8110 2.9146 -16.6317" Properties=species:S:1:pos:R:3 pbc="T T T"
La 1.8110 1.4573 -6.9290
La 0.0000 1.4573 6.2412
La 1.8110 1.4573 10.3905
La 0.0000 1.4573 23.5607
Nd 1.8110 -1.4573 12.7167
Nd 1.8110 -1.4573 15.9183
Nd 0.0000 4.3720 0.7134
Nd 0.0000 4.3720 3.9150
Er 1.8110 1.4573 2.4952
Er 0.0000 1.4573 14.1365
```

12.
For La2Nd3Er6, a DFT-relaxed cell (GGA-PBE, Alexandria) gives the simulated powder X-ray diffraction pattern in this record (λ = 1.5418 Å (Cu Kα)).

Most intense lines, 2θ from 5° to 70°, in order of falling intensity:
d_spacing, intensity
2.909, 100
2.491, 44
2.892, 33
2.567, 24
1.509, 18
1.791, 16
1.785, 16
1.541, 15
1.501, 9
1.505, 9

```
11
Lattice="3.1169 -5.3032 0.0000 3.1169 5.3032 0.0000 -1.7281 0.0000 11.5664" Properties=species:S:1:pos:R:3 pbc="T T T"
La 3.1169 3.4229 0.0000
La 3.1169 -3.4229 0.0000
Nd -0.8640 0.0000 5.7832
Nd 2.2529 1.7393 5.7832
Nd 2.2529 -1.7393 5.7832
Er 0.2043 1.7686 8.6378
Er 1.1992 0.0000 2.8749
Er 0.2043 -1.7686 8.6378
Er 4.3015 1.7686 2.9286
Er 3.3066 0.0000 8.6915
Er 4.3015 -1.7686 2.9286
```